For K4Re2HCl10O, the GGA-PBE geometry in the Materials Project gives the calculated powder diffraction line list in this record (Cu Kα (λ = 1.5418 Å)).
Lines closer than 0.1° are merged.

Top 10 peaks for 10° ≤ 2θ ≤ 80°, in order of falling intensity:
| Position (°2θ) | I_rel | hkl |
| --- | --- | --- |
| 13.18 | 100 | 1 0 1 |
| 35.06 | 33 | 2 2 0 |
| 26.37 | 27 | 1 1 4 |
| 28.00 | 26 | 2 1 1 |
| 17.32 | 21 | 1 1 0 |
| 27.67 | 19 | 1 0 5 |
| 44.39 | 13 | 3 1 4 |
| 37.35 | 13 | 2 1 5 |
| 24.59 | 12 | 2 0 0 |
| 45.45 | 11 | 3 2 1 |

Cell and atoms:
```
data_K4Re2HCl10O
_cell_length_a 7.240
_cell_length_b 7.240
_cell_length_c 18.003
_cell_angle_alpha 90.00
_cell_angle_beta 90.00
_cell_angle_gamma 90.00
_space_group_name_H-M_alt 'I 4/m m m'
_space_group_IT_number 139
_space_group_name_Hall '-I 4 2'
loop_
_atom_site_label
_atom_site_fract_x
_atom_site_fract_y
_atom_site_fract_z
K1 0.000 0.500 0.000
K2 0.000 0.500 0.250
Re1 0.000 0.000 0.103
H1 0.000 0.000 0.500
Cl1 0.000 0.000 0.237
Cl2 0.235 0.235 0.112
O1 0.000 0.000 0.000
```


For LiTiS2, the GGA-PBE geometry in the Materials Project gives the calculated powder diffraction line list in this record (Cu Kα (λ = 1.5418 Å)).
Lines closer than 0.1° are merged.

Top 10 peaks for 10° ≤ 2θ ≤ 80°, in order of falling intensity:
| Position (°2θ) | I_rel | hkl |
| --- | --- | --- |
| 35.71 | 100 | 4 0 0 |
| 51.39 | 63 | 4 4 0 |
| 15.26 | 45 | 1 1 1 |
| 29.45 | 21 | 3 1 1 |
| 64.15 | 20 | 4 4 4 |
| 75.64 | 9 | 8 0 0 |
| 46.94 | 9 | 5 1 1 |
| 53.93 | 8 | 5 3 1 |
| 39.04 | 7 | 3 3 1 |
| 66.37 | 4 | 5 5 1 |

Cell and atoms:
Cell lengths 10.058, 10.058, 10.058 Å; angles 90.00, 90.00, 90.00 degrees
Space group Fd-3m (No. 227, origin choice 2)
One atom of each set of equivalent atoms:
Li1 0.000 0.000 0.000 (multiplicity 16)
Ti1 0.000 0.000 0.500 (multiplicity 16)
S1 0.003 0.003 0.747 (multiplicity 32)


For NbHg2F6, the GGA-PBE geometry in the Materials Project gives the calculated powder diffraction line list in this record (Cu Kα (λ = 1.5418 Å)).
Lines closer than 0.1° are merged.

Top 10 peaks for 10° ≤ 2θ ≤ 80°, in order of falling intensity:
| Position (°2θ) | I_rel | hkl |
| --- | --- | --- |
| 27.47 | 100 | 2 2 0 |
| 28.07 | 65 | 2 2 -2 |
| 27.28 | 64 | 3 1 -1 |
| 24.49 | 40 | 1 1 1 |
| 24.99 | 38 | 1 1 -2 |
| 44.99 | 32 | 0 4 2 |
| 27.69 | 30 | 3 1 -2 |
| 48.29 | 27 | 4 4 -2 |
| 44.26 | 27 | 4 0 0 |
| 43.78 | 25 | 5 1 -2 |

Cell and atoms:
```
data_NbHg2F6
_cell_length_a 10.651
_cell_length_b 10.677
_cell_length_c 7.995
_cell_angle_alpha 90.00
_cell_angle_beta 129.79
_cell_angle_gamma 90.00
_space_group_name_H-M_alt 'C 1 2/c 1'
_space_group_IT_number 15
_space_group_name_Hall '-C 2yc'
loop_
_atom_site_label
_atom_site_fract_x
_atom_site_fract_y
_atom_site_fract_z
Nb1 0.000 0.125 0.250
Hg1 0.000 0.500 0.000
Hg2 0.250 0.250 0.000
F1 0.000 0.057 0.750
F2 0.000 0.307 0.250
F3 0.155 0.126 0.564
F4 0.180 0.125 0.246
```